Diffraction record for Pm2HoTc. The PXRD pattern is simulated, not measured: it uses a crystal structure in Alexandria, relaxed with GGA-PBE and a wavelength of 1.5418 Å.
Neutral-atom scattering factors, no anomalous dispersion.

Cell and atoms:
```
Pm2HoTc
1.0
7.437 0.000 0.000
0.000 9.462 0.000
0.000 0.000 6.383
Pm Ho Tc
8 4 4
Direct
0.177 0.064 0.166
0.177 0.436 0.166
0.323 0.564 0.666
0.323 0.936 0.666
0.677 0.064 0.334
0.677 0.436 0.334
0.823 0.564 0.834
0.823 0.936 0.834
0.046 0.250 0.636
0.454 0.750 0.136
0.546 0.250 0.864
0.954 0.750 0.364
0.110 0.750 0.965
0.390 0.250 0.465
0.610 0.750 0.535
0.890 0.250 0.035
```

Top 10 peaks for 2θ = 10–80°, low angle first:
- 29.4 deg, I = 54
- 30.5 deg, I = 60
- 30.6 deg, I = 74
- 31.6 deg, I = 100
- 31.9 deg, I = 91
- 33.7 deg, I = 76
- 33.9 deg, I = 90
- 39.0 deg, I = 34
- 48.5 deg, I = 42
- 55.2 deg, I = 37

=====

Diffraction record for Pm5HoTe4. The PXRD pattern is simulated, not measured: it uses a crystal structure in Alexandria, relaxed with GGA-PBE and a wavelength of 1.5418 Å.
Neutral-atom scattering factors, no anomalous dispersion.

Cell and atoms:
```
Pm5HoTe4
1.0
8.392 0.000 0.000
0.000 11.486 0.000
0.000 0.000 7.365
Pm Ho Te
10 2 8
Direct
0.003 0.078 0.216
0.003 0.422 0.216
0.250 0.750 0.416
0.497 0.078 0.216
0.497 0.422 0.216
0.503 0.578 0.784
0.503 0.922 0.784
0.750 0.250 0.584
0.997 0.578 0.784
0.997 0.922 0.784
0.250 0.250 0.582
0.750 0.750 0.418
0.006 0.250 0.886
0.250 0.003 0.505
0.250 0.497 0.505
0.494 0.250 0.886
0.506 0.750 0.114
0.750 0.503 0.495
0.750 0.997 0.495
0.994 0.750 0.114
```

Top 10 peaks for 2θ = 10–80°, low angle first:
- 24.4 deg, I = 100
- 26.2 deg, I = 99
- 32.3 deg, I = 58
- 33.3 deg, I = 21
- 34.0 deg, I = 42
- 37.5 deg, I = 26
- 40.0 deg, I = 38
- 40.2 deg, I = 44
- 43.1 deg, I = 31
- 51.2 deg, I = 31

=====

Diffraction record for Pm3Ho4Te8. The PXRD pattern is simulated, not measured: it uses a crystal structure in Alexandria, relaxed with GGA-PBE and a wavelength of 1.5418 Å.
Neutral-atom scattering factors, no anomalous dispersion.

Cell and atoms:
```
Pm3Ho4Te8
1.0
6.196 -6.200 0.000
6.196 6.200 0.000
-6.184 0.000 6.203
Pm Ho Te
3 4 8
Direct
0.000 0.000 0.000
0.000 0.500 0.000
0.500 0.000 0.000
0.000 0.500 0.500
0.500 0.000 0.500
0.500 0.500 0.000
0.500 0.500 0.500
0.247 0.753 0.500
0.250 0.250 0.507
0.251 0.251 0.995
0.253 0.747 0.000
0.747 0.253 0.000
0.749 0.749 0.005
0.750 0.750 0.493
0.753 0.247 0.500
```

Top 10 peaks for 2θ = 10–80°, low angle first:
- 12.4 deg, I = 5
- 23.8 deg, I = 4
- 28.8 deg, I = 100
- 41.2 deg, I = 76
- 51.0 deg, I = 27
- 59.7 deg, I = 13
- 67.5 deg, I = 23
- 67.6 deg, I = 12
- 75.0 deg, I = 13
- 75.1 deg, I = 13

=====

Diffraction record for Pm5Ho3Te8. The PXRD pattern is simulated, not measured: it uses a crystal structure in Alexandria, relaxed with GGA-PBE and a wavelength of 1.5418 Å.
Neutral-atom scattering factors, no anomalous dispersion.

Cell and atoms:
```
Pm5Ho3Te8
1.0
4.400 2.541 7.277
-4.400 2.541 7.277
0.000 -5.081 7.277
Pm Ho Te
5 3 8
Direct
0.000 0.000 0.000
0.000 0.500 0.500
0.500 0.000 0.500
0.500 0.500 0.000
0.500 0.500 0.500
0.000 0.000 0.500
0.000 0.500 0.000
0.500 0.000 0.000
0.242 0.750 0.750
0.246 0.246 0.246
0.250 0.250 0.758
0.250 0.758 0.250
0.750 0.242 0.750
0.750 0.750 0.242
0.754 0.754 0.754
0.758 0.250 0.250
```

Top 10 peaks for 2θ = 10–80°, low angle first:
- 28.6 deg, I = 100
- 40.7 deg, I = 38
- 41.0 deg, I = 38
- 50.1 deg, I = 7
- 50.7 deg, I = 20
- 59.1 deg, I = 13
- 66.7 deg, I = 17
- 67.2 deg, I = 17
- 73.8 deg, I = 6
- 74.5 deg, I = 13

=====

Diffraction record for PmHo5Te8. The PXRD pattern is simulated, not measured: it uses a crystal structure in Alexandria, relaxed with GGA-PBE and a wavelength of 1.5418 Å.
Neutral-atom scattering factors, no anomalous dispersion.

Cell and atoms:
```
PmHo5Te8
1.0
0.000 6.405 6.405
6.405 0.000 6.405
6.405 6.405 0.000
Pm Ho Te
1 5 8
Direct
0.000 0.000 0.000
0.376 0.376 0.376
0.376 0.376 0.873
0.376 0.873 0.376
0.750 0.750 0.750
0.873 0.376 0.376
0.135 0.135 0.135
0.135 0.135 0.594
0.135 0.594 0.135
0.147 0.618 0.618
0.594 0.135 0.135
0.618 0.147 0.618
0.618 0.618 0.147
0.618 0.618 0.618
```

Top 10 peaks for 2θ = 10–80°, low angle first:
- 19.6 deg, I = 18
- 23.0 deg, I = 61
- 27.9 deg, I = 62
- 36.4 deg, I = 40
- 39.8 deg, I = 100
- 49.3 deg, I = 16
- 55.1 deg, I = 15
- 57.6 deg, I = 16
- 65.1 deg, I = 19
- 72.3 deg, I = 31

=====

Diffraction record for PmHo3Te. The PXRD pattern is simulated, not measured: it uses a crystal structure in Alexandria, relaxed with GGA-PBE and a wavelength of 1.5418 Å.
Neutral-atom scattering factors, no anomalous dispersion.

Cell and atoms:
```
PmHo3Te
1.0
7.553 0.000 0.000
0.000 7.723 0.000
0.000 0.000 5.827
Pm Ho Te
2 6 2
Direct
0.000 0.139 0.000
0.500 0.861 0.500
0.000 0.871 0.499
0.246 0.753 0.000
0.254 0.247 0.500
0.500 0.129 0.999
0.746 0.247 0.500
0.754 0.753 0.000
0.000 0.506 0.266
0.500 0.494 0.766
```

Top 10 peaks for 2θ = 10–80°, low angle first:
- 27.7 deg, I = 18
- 30.5 deg, I = 100
- 30.7 deg, I = 21
- 33.2 deg, I = 22
- 36.7 deg, I = 20
- 38.2 deg, I = 23
- 38.7 deg, I = 20
- 40.8 deg, I = 17
- 54.4 deg, I = 20
- 62.8 deg, I = 24

=====

Diffraction record for PmHoTe6. The PXRD pattern is simulated, not measured: it uses a crystal structure in Alexandria, relaxed with GGA-PBE and a wavelength of 1.5418 Å.
Neutral-atom scattering factors, no anomalous dispersion.

Cell and atoms:
```
PmHoTe6
1.0
4.359 0.000 0.000
0.000 4.357 0.000
0.000 0.000 26.927
Pm Ho Te
2 2 12
Direct
0.000 0.000 0.000
0.000 0.500 0.500
0.500 0.000 0.345
0.500 0.500 0.845
0.000 0.000 0.252
0.000 0.000 0.595
0.000 0.000 0.878
0.000 0.500 0.095
0.000 0.500 0.378
0.000 0.500 0.752
0.500 0.000 0.095
0.500 0.000 0.463
0.500 0.000 0.752
0.500 0.500 0.252
0.500 0.500 0.595
0.500 0.500 0.963
```

Top 10 peaks for 2θ = 10–80°, low angle first:
- 13.2 deg, I = 14
- 26.5 deg, I = 37
- 29.2 deg, I = 18
- 30.7 deg, I = 100
- 33.5 deg, I = 39
- 33.6 deg, I = 14
- 37.4 deg, I = 32
- 41.4 deg, I = 50
- 60.0 deg, I = 17
- 68.9 deg, I = 19

=====

Diffraction record for Pm5Ho2Te12. The PXRD pattern is simulated, not measured: it uses a crystal structure in Alexandria, relaxed with GGA-PBE and a wavelength of 1.5418 Å.
Neutral-atom scattering factors, no anomalous dispersion.

Cell and atoms:
```
Pm5Ho2Te12
1.0
8.495 -4.165 0.000
8.495 4.165 0.000
-2.275 0.000 9.759
Pm Ho Te
5 2 12
Direct
0.000 0.000 0.000
0.290 0.290 0.145
0.326 0.326 0.689
0.674 0.674 0.311
0.710 0.710 0.855
0.254 0.746 0.500
0.746 0.254 0.500
0.028 0.028 0.712
0.068 0.567 0.415
0.107 0.600 0.937
0.400 0.893 0.063
0.433 0.932 0.585
0.487 0.487 0.272
0.513 0.513 0.728
0.567 0.068 0.415
0.600 0.107 0.937
0.893 0.400 0.063
0.932 0.433 0.585
0.972 0.972 0.288
```

Top 10 peaks for 2θ = 10–80°, low angle first:
- 19.3 deg, I = 42
- 20.7 deg, I = 50
- 28.2 deg, I = 100
- 28.7 deg, I = 51
- 31.7 deg, I = 38
- 32.5 deg, I = 52
- 33.3 deg, I = 49
- 35.9 deg, I = 57
- 38.3 deg, I = 39
- 43.5 deg, I = 51